Entry 1:
Computed powder diffraction line list
Compound: Dy4Te2Pt
Radiation: λ = 1.5418 Å (Cu Kα)
Structure: DFT lattice parameters and positions (PBE)
Neutral-atom scattering factors, no anomalous dispersion.

Crystal structure
```
data_Dy4Te2Pt
_cell_length_a 7.892
_cell_length_b 12.332
_cell_length_c 4.305
_cell_angle_alpha 90.00
_cell_angle_beta 90.00
_cell_angle_gamma 90.00
_symmetry_space_group_name_H-M 'P b a m'
_symmetry_Int_Tables_number 55
loop_
_symmetry_equiv_pos_as_xyz
'x,y,z'
'-x,-y,-z'
'-x,-y,z'
'x,y,-z'
'x+1/2,-y+1/2,-z'
'-x+1/2,y+1/2,z'
'-x+1/2,y+1/2,-z'
'x+1/2,-y+1/2,z'
loop_
_atom_site_label
_atom_site_fract_x
_atom_site_fract_y
_atom_site_fract_z
Dy1 0.144 0.204 0.000
Dy2 0.205 0.946 0.500
Te1 0.070 0.668 0.500
Pt1 0.000 0.000 0.000
```

Peak list (10 most intense, 2θ from 10° to 90°, in order of rising 2θ)
2theta  intensity  (hkl)
13.32  687  1 1 0
24.41  345  1 3 0
24.64  517  1 1 1
31.14  746  1 4 0
31.60  1000  2 1 1
34.08  901  2 2 1
41.97  495  0 0 2
43.83  407  1 5 1
46.07  302  3 3 1
53.18  421  1 4 2

***

Entry 2:
Computed powder diffraction line list
Compound: DyTh3Pt3
Radiation: λ = 1.5418 Å (Cu Kα)
Structure: DFT lattice parameters and positions (PBE)
Neutral-atom scattering factors, no anomalous dispersion.

Crystal structure
```
data_DyTh3Pt3
_cell_length_a 12.552
_cell_length_b 4.085
_cell_length_c 14.430
_cell_angle_alpha 90.00
_cell_angle_beta 90.00
_cell_angle_gamma 90.00
_symmetry_space_group_name_H-M 'P n m a'
_symmetry_Int_Tables_number 62
loop_
_symmetry_equiv_pos_as_xyz
'x,y,z'
'-x,-y,-z'
'-x+1/2,-y,z+1/2'
'x+1/2,y,-z+1/2'
'x+1/2,-y+1/2,-z+1/2'
'-x+1/2,y+1/2,z+1/2'
'-x,y+1/2,-z'
'x,-y+1/2,z'
loop_
_atom_site_label
_atom_site_fract_x
_atom_site_fract_y
_atom_site_fract_z
Dy1 0.012 0.250 0.189
Th1 0.045 0.250 0.606
Th2 0.183 0.750 0.032
Th3 0.244 0.750 0.305
Pt1 0.061 0.250 0.934
Pt2 0.119 0.250 0.407
Pt3 0.209 0.750 0.666
```

Peak list (10 most intense, 2θ from 10° to 90°, in order of rising 2θ)
2theta  intensity  (hkl)
28.27  319  3 0 3
29.56  794  1 1 3
32.09  407  2 1 3
33.06  612  3 1 2
33.91  331  1 1 4
34.12  283  4 0 3
35.95  522  3 1 3
36.11  1000  4 1 0
38.21  291  0 1 5
44.34  566  0 2 0

***

Entry 3:
Computed powder diffraction line list
Compound: Dy2ThPt2
Radiation: λ = 1.5418 Å (Cu Kα)
Structure: DFT lattice parameters and positions (PBE)
Neutral-atom scattering factors, no anomalous dispersion.

Crystal structure
```
data_Dy2ThPt2
_cell_length_a 3.854
_cell_length_b 27.456
_cell_length_c 4.680
_cell_angle_alpha 90.00
_cell_angle_beta 90.00
_cell_angle_gamma 90.00
_symmetry_space_group_name_H-M 'C m c m'
_symmetry_Int_Tables_number 63
_symmetry_space_group_name_Hall '-C 2c 2'
loop_
_atom_site_label
_atom_site_fract_x
_atom_site_fract_y
_atom_site_fract_z
Dy1 0.000 0.050 0.250
Dy2 0.000 0.264 0.750
Th1 0.000 0.363 0.250
Pt1 0.000 0.158 0.250
Pt2 0.000 0.466 0.250
```

Peak list (10 most intense, 2θ from 10° to 90°, in order of rising 2θ)
2theta  intensity  (hkl)
30.22  252  1 1 1
31.62  1000  1 3 1
32.61  374  0 10 0
37.96  615  1 7 1
38.47  422  0 0 2
42.44  281  1 9 1
47.16  238  2 0 0
51.30  213  0 10 2
62.43  212  2 0 2
72.26  211  2 10 2

***

Entry 4:
Computed powder diffraction line list
Compound: DyThZnPt
Radiation: λ = 1.5418 Å (Cu Kα)
Structure: DFT lattice parameters and positions (PBE)
Neutral-atom scattering factors, no anomalous dispersion.

Crystal structure
```
data_DyThZnPt
_cell_length_a 7.192
_cell_length_b 7.192
_cell_length_c 7.192
_cell_angle_alpha 90.00
_cell_angle_beta 90.00
_cell_angle_gamma 90.00
_symmetry_space_group_name_H-M 'F -4 3 m'
_symmetry_Int_Tables_number 216
_symmetry_space_group_name_Hall 'F -4 2 3'
loop_
_atom_site_label
_atom_site_fract_x
_atom_site_fract_y
_atom_site_fract_z
Dy1 0.000 0.000 0.000
Th1 0.000 0.000 0.500
Zn1 0.250 0.250 0.250
Pt1 0.250 0.250 0.750
```

Peak list (10 most intense, 2θ from 10° to 90°, in order of rising 2θ)
2theta  intensity  (hkl)
21.40  100  1 1 1
24.76  42  2 0 0
35.30  1000  2 2 0
41.65  57  3 1 1
50.78  180  4 0 0
55.71  25  3 3 1
63.35  371  4 2 2
74.65  115  4 4 0
78.71  20  5 3 1
85.36  166  6 2 0

***

Entry 5:
Computed powder diffraction line list
Compound: Dy6Tl2Pt
Radiation: λ = 1.5418 Å (Cu Kα)
Structure: DFT lattice parameters and positions (PBE)
Neutral-atom scattering factors, no anomalous dispersion.

Crystal structure
```
data_Dy6Tl2Pt
_cell_length_a 3.840
_cell_length_b 15.066
_cell_length_c 8.708
_cell_angle_alpha 90.00
_cell_angle_beta 90.00
_cell_angle_gamma 90.00
_symmetry_space_group_name_H-M 'A m m 2'
_symmetry_Int_Tables_number 38
loop_
_symmetry_equiv_pos_as_xyz
'x,y,z'
'-x,-y,z'
'-x,y,z'
'x,-y,z'
'x,y+1/2,z+1/2'
'-x,-y+1/2,z+1/2'
'-x,y+1/2,z+1/2'
'x,-y+1/2,z+1/2'
loop_
_atom_site_label
_atom_site_fract_x
_atom_site_fract_y
_atom_site_fract_z
Dy1 0.000 0.000 0.000
Dy2 0.000 0.122 0.634
Dy3 0.500 0.000 0.360
Dy4 0.500 0.198 0.953
Tl1 0.000 0.167 0.256
Pt1 0.500 0.000 0.756
```

Peak list (10 most intense, 2θ from 10° to 90°, in order of rising 2θ)
2theta  intensity  (hkl)
31.06  969  1 0 2
31.40  613  0 5 1
33.31  1000  1 4 0
35.74  655  0 3 3
39.38  620  1 5 1
47.35  241  2 0 0
55.90  172  0 6 4
57.92  217  2 5 1
58.54  465  1 8 2
60.71  287  2 3 3

***

Entry 6:
Computed powder diffraction line list
Compound: Dy12Tl6Pt
Radiation: λ = 1.5418 Å (Cu Kα)
Structure: DFT lattice parameters and positions (PBE)
Neutral-atom scattering factors, no anomalous dispersion.

Crystal structure
```
data_Dy12Tl6Pt
_cell_length_a 12.1087
_cell_length_b 12.1087
_cell_length_c 13.5609
_cell_angle_alpha 90.00
_cell_angle_beta 90.00
_cell_angle_gamma 120.00
_symmetry_space_group_name_H-M 'R -3'
_symmetry_Int_Tables_number 148
_symmetry_space_group_name_Hall '-R 3'
loop_
_atom_site_label
_atom_site_fract_x
_atom_site_fract_y
_atom_site_fract_z
Dy1 0.0283 0.8403 0.3692
Dy2 0.0362 0.1901 0.8943
Tl1 0.0058 0.3967 0.7645
Pt1 0.0000 0.0000 0.5000
```

Peak list (10 most intense, 2θ from 10° to 90°, in order of rising 2θ)
2theta  intensity  (hkl)
15.56  176  0 1 2
27.65  310  1 0 4
29.51  126  2 2 0
31.46  1000  4 -3 1
33.53  380  3 1 2
34.82  251  2 1 4
35.70  695  4 -2 3
40.29  177  1 2 5
46.28  182  3 2 4
63.58  178  3 1 8

***

Entry 7:
Computed powder diffraction line list
Compound: Dy2TlPt9
Radiation: λ = 1.5418 Å (Cu Kα)
Structure: DFT lattice parameters and positions (PBE)
Neutral-atom scattering factors, no anomalous dispersion.

Crystal structure
```
data_Dy2TlPt9
_cell_length_a 4.114
_cell_length_b 4.114
_cell_length_c 12.341
_cell_angle_alpha 90.00
_cell_angle_beta 90.00
_cell_angle_gamma 90.00
_symmetry_space_group_name_H-M 'P 4/m m m'
_symmetry_Int_Tables_number 123
_symmetry_space_group_name_Hall '-P 4 2'
loop_
_atom_site_label
_atom_site_fract_x
_atom_site_fract_y
_atom_site_fract_z
Dy1 0.000 0.000 0.167
Tl1 0.000 0.000 0.500
Pt1 0.000 0.500 0.000
Pt2 0.000 0.500 0.333
Pt3 0.500 0.500 0.168
Pt4 0.500 0.500 0.500
```

Peak list (5 most intense, 2θ from 10° to 90°, in order of rising 2θ)
2theta  intensity  (hkl)
37.88  1000  1 1 3
44.02  494  2 0 0
64.02  329  2 2 0
76.86  392  3 1 3
80.96  115  2 2 6

***

Entry 8:
Computed powder diffraction line list
Compound: DyTm2Pt3
Radiation: λ = 1.5418 Å (Cu Kα)
Structure: DFT lattice parameters and positions (PBE)
Neutral-atom scattering factors, no anomalous dispersion.

Crystal structure
```
data_DyTm2Pt3
_cell_length_a 4.914
_cell_length_b 14.754
_cell_length_c 3.436
_cell_angle_alpha 90.00
_cell_angle_beta 90.00
_cell_angle_gamma 90.00
_symmetry_space_group_name_H-M 'P m m n'
_symmetry_Int_Tables_number 59
loop_
_symmetry_equiv_pos_as_xyz
'x,y,z'
'-x,-y,-z'
'-x+1/2,-y+1/2,z'
'x+1/2,y+1/2,-z'
'x+1/2,-y,-z'
'-x+1/2,y,z'
'-x,y+1/2,-z'
'x,-y+1/2,z'
loop_
_atom_site_label
_atom_site_fract_x
_atom_site_fract_y
_atom_site_fract_z
Dy1 0.250 0.250 0.001
Tm1 0.250 0.583 0.000
Pt1 0.250 0.080 0.500
Pt2 0.250 0.750 0.498
```

Peak list (10 most intense, 2θ from 10° to 90°, in order of rising 2θ)
2theta  intensity  (hkl)
36.56  508  2 0 0
36.78  1000  1 3 1
52.66  180  2 6 0
53.32  87  0 0 2
65.95  368  3 3 1
66.38  181  2 0 2
77.70  58  4 0 0
78.23  114  2 6 2
89.09  43  4 6 0
89.19  85  3 9 1

***

Entry 9:
Computed powder diffraction line list
Compound: Dy3TmPt2
Radiation: λ = 1.5418 Å (Cu Kα)
Structure: DFT lattice parameters and positions (PBE)
Neutral-atom scattering factors, no anomalous dispersion.

Crystal structure
```
data_Dy3TmPt2
_cell_length_a 4.758
_cell_length_b 8.790
_cell_length_c 7.132
_cell_angle_alpha 90.00
_cell_angle_beta 90.00
_cell_angle_gamma 90.00
_symmetry_space_group_name_H-M 'P m c 21'
_symmetry_Int_Tables_number 26
loop_
_symmetry_equiv_pos_as_xyz
'x,y,z'
'-x,-y,z+1/2'
'-x,y,z'
'x,-y,z+1/2'
loop_
_atom_site_label
_atom_site_fract_x
_atom_site_fract_y
_atom_site_fract_z
Dy1 0.000 0.084 0.000
Dy2 0.000 0.333 0.365
Dy3 0.500 0.170 0.653
Tm1 0.500 0.416 0.018
Pt1 0.000 0.344 0.769
Pt2 0.500 0.158 0.249
```

Peak list (10 most intense, 2θ from 10° to 90°, in order of rising 2θ)
2theta  intensity  (hkl)
30.39  681  1 2 1
31.35  267  1 0 2
32.33  191  0 2 2
33.01  1000  1 1 2
36.00  566  1 3 0
37.82  547  2 0 0
43.27  198  0 2 3
43.80  220  1 1 3
44.31  271  1 3 2
69.35  191  0 6 2

***

Entry 10:
Computed powder diffraction line list
Compound: Dy2Tm2Pt3
Radiation: λ = 1.5418 Å (Cu Kα)
Structure: DFT lattice parameters and positions (PBE)
Neutral-atom scattering factors, no anomalous dispersion.

Crystal structure
```
data_Dy2Tm2Pt3
_cell_length_a 8.670
_cell_length_b 8.670
_cell_length_c 8.670
_cell_angle_alpha 90.00
_cell_angle_beta 90.00
_cell_angle_gamma 90.00
_symmetry_space_group_name_H-M 'I 21 3'
_symmetry_Int_Tables_number 199
_symmetry_space_group_name_Hall 'I 2b 2c 3'
loop_
_atom_site_label
_atom_site_fract_x
_atom_site_fract_y
_atom_site_fract_z
Dy1 0.064 0.064 0.064
Tm1 0.186 0.314 0.686
Pt1 0.000 0.250 0.379
```

Peak list (10 most intense, 2θ from 10° to 90°, in order of rising 2θ)
2theta  intensity  (hkl)
32.66  1000  3 1 0
38.87  552  3 2 1
46.86  152  4 0 2
49.30  121  3 3 2
51.65  115  4 2 2
53.92  241  4 1 3
66.48  257  6 1 1
68.44  95  6 2 0
70.38  116  5 1 4
81.60  197  7 1 2

***

Entry 11:
Computed powder diffraction line list
Compound: DyTmPt
Radiation: λ = 1.5418 Å (Cu Kα)
Structure: DFT lattice parameters and positions (PBE)
Neutral-atom scattering factors, no anomalous dispersion.

Crystal structure
```
data_DyTmPt
_cell_length_a 4.8213
_cell_length_b 4.8213
_cell_length_c 23.7244
_cell_angle_alpha 90.00
_cell_angle_beta 90.00
_cell_angle_gamma 120.00
_symmetry_space_group_name_H-M 'R -3 m'
_symmetry_Int_Tables_number 166
_symmetry_space_group_name_Hall '-R 3 2"'
loop_
_atom_site_label
_atom_site_fract_x
_atom_site_fract_y
_atom_site_fract_z
Dy1 0.0000 0.0000 0.1242
Tm1 0.0000 0.0000 0.3742
Pt1 0.0000 0.0000 0.2510
```

Peak list (10 most intense, 2θ from 10° to 90°, in order of rising 2θ)
2theta  intensity  (hkl)
22.55  647  0 1 2
26.10  176  1 0 4
37.19  1000  0 1 8
37.30  994  1 1 0
43.96  257  1 1 6
53.69  351  2 0 8
66.97  180  1 0 16
67.22  538  3 0 0
79.24  113  0 2 16
79.52  113  2 2 0

***

Entry 12:
Computed powder diffraction line list
Compound: Dy3YPt
Radiation: λ = 1.5418 Å (Cu Kα)
Structure: DFT lattice parameters and positions (PBE)
Neutral-atom scattering factors, no anomalous dispersion.

Crystal structure
```
data_Dy3YPt
_cell_length_a 12.341
_cell_length_b 3.760
_cell_length_c 12.986
_cell_angle_alpha 90.00
_cell_angle_beta 109.51
_cell_angle_gamma 90.00
_symmetry_space_group_name_H-M 'C 1 m 1'
_symmetry_Int_Tables_number 8
loop_
_symmetry_equiv_pos_as_xyz
'x,y,z'
'x,-y,z'
'x+1/2,y+1/2,z'
'x+1/2,-y+1/2,z'
loop_
_atom_site_label
_atom_site_fract_x
_atom_site_fract_y
_atom_site_fract_z
Dy1 0.000 0.000 0.000
Dy2 0.030 0.500 0.248
Dy3 0.153 0.500 0.539
Dy4 0.294 0.000 0.374
Dy5 0.343 0.000 0.767
Dy6 0.451 0.500 0.605
Y1 0.141 0.500 0.833
Y2 0.265 0.500 0.126
Pt1 0.310 0.000 0.980
Pt2 0.487 0.500 0.392
```

Peak list (10 most intense, 2θ from 10° to 90°, in order of rising 2θ)
2theta  intensity  (hkl)
14.49  443  0 0 2
30.20  589  1 1 2
30.70  432  2 0 3
31.52  472  1 1 -3
33.01  396  3 1 -2
33.19  1000  3 1 0
34.70  629  2 0 -5
35.35  397  3 1 -3
36.66  622  0 0 5
48.42  367  0 2 0

***

Entry 13:
Computed powder diffraction line list
Compound: Dy3YPt8
Radiation: λ = 1.5418 Å (Cu Kα)
Structure: DFT lattice parameters and positions (PBE)
Neutral-atom scattering factors, no anomalous dispersion.

Crystal structure
```
data_Dy3YPt8
_cell_length_a 5.4540
_cell_length_b 5.4540
_cell_length_c 8.8753
_cell_angle_alpha 90.00
_cell_angle_beta 90.00
_cell_angle_gamma 120.00
_symmetry_space_group_name_H-M 'P 3 m 1'
_symmetry_Int_Tables_number 156
loop_
_symmetry_equiv_pos_as_xyz
'x,y,z'
'-y,x-y,z'
'-x+y,-x,z'
'-y,-x,z'
'-x+y,y,z'
'x,x-y,z'
loop_
_atom_site_label
_atom_site_fract_x
_atom_site_fract_y
_atom_site_fract_z
Dy1 0.0000 0.0000 0.0000
Dy2 0.0000 0.0000 0.3697
Dy3 0.3333 0.6667 0.8708
Y1 0.3333 0.6667 0.5004
Pt1 0.0049 0.5025 0.1848
Pt2 0.3283 0.1641 0.6852
Pt3 0.6667 0.3333 0.4349
Pt4 0.6667 0.3333 0.9348
```

Peak list (10 most intense, 2θ from 10° to 90°, in order of rising 2θ)
2theta  intensity  (hkl)
35.81  602  1 0 3
38.76  992  1 1 2
39.48  1000  0 2 1
40.66  243  0 0 4
43.40  317  2 0 2
60.58  241  2 1 3
62.60  247  3 0 2
65.82  327  2 0 5
68.86  306  2 2 0
83.15  191  2 2 4